Structure and calculated X-ray powder pattern of Ce5SiSb3 (a PBE-relaxed structure; Cu Ka).
Intensities are scaled so that the largest is 1000.

Peak list (12 most intense, 2θ from 10° to 80°, by angle)
| (hkl) | two_theta | I_rel |
| --- | --- | --- |
| 0 0 2 | 28.01 | 157 |
| 2 1 0 | 28.93 | 224 |
| 2 1 1 | 32.23 | 939 |
| 3 0 0 | 32.91 | 779 |
| 1 1 2 | 33.97 | 1000 |
| 3 1 1 | 42.36 | 157 |
| 2 2 2 | 48.02 | 273 |
| 3 2 1 | 50.80 | 167 |
| 2 1 3 | 52.30 | 237 |
| 4 0 2 | 53.31 | 124 |
| 5 1 1 | 65.29 | 125 |
| 3 0 4 | 68.23 | 185 |

Structural model:
abc: 9.4289 9.4289 6.3700
angles: 90.00 90.00 120.00
Space group P6_3/mcm (No. 193)
Unique sites:
Ce1 0.0000 0.2590 0.2500 [6 per cell]
Ce2 0.3333 0.6667 0.0000 [4 per cell]
Si1 0.0000 0.0000 0.0000 [2 per cell]
Sb1 0.0000 0.3850 0.7500 [6 per cell]

Structure and calculated X-ray powder pattern of CeSm5Sb4 (a PBE-relaxed structure; Cu Ka).
Intensities are scaled so that the largest is 1000.

Peak list (12 most intense, 2θ from 10° to 80°, by angle)
| (hkl) | two_theta | I_rel |
| --- | --- | --- |
| 3 1 0 | 24.94 | 124 |
| 1 1 -2 | 29.00 | 1000 |
| 6 0 0 | 29.15 | 472 |
| 7 1 -2 | 40.99 | 384 |
| 0 2 0 | 41.09 | 196 |
| 2 0 -4 | 41.87 | 182 |
| 5 1 2 | 42.18 | 358 |
| 8 0 -4 | 50.81 | 104 |
| 6 2 0 | 51.17 | 196 |
| 2 2 -4 | 60.11 | 125 |
| 1 3 -2 | 67.55 | 165 |
| 5 3 2 | 75.65 | 112 |

Structural model:
abc: 19.058 4.393 8.637
angles: 90.00 105.29 90.00
Space group C2/m (No. 12)
Unique sites:
Ce1 0.000 0.000 0.000 [2 per cell]
Sm1 0.000 0.000 0.500 [2 per cell]
Sm2 0.163 0.500 0.826 [4 per cell]
Sm3 0.176 0.500 0.347 [4 per cell]
Sb1 0.008 0.500 0.257 [4 per cell]
Sb2 0.170 0.000 0.089 [4 per cell]

Structure and calculated X-ray powder pattern of CeSn2Sb2 (a PBE-relaxed structure; Cu Ka).
Intensities are scaled so that the largest is 1000.

Peak list (12 most intense, 2θ from 10° to 80°, by angle)
| (hkl) | two_theta | I_rel |
| --- | --- | --- |
| 0 10 0 | 32.37 | 229 |
| 1 5 1 | 32.61 | 1000 |
| 1 9 0 | 35.40 | 14 |
| 2 0 0 | 40.19 | 147 |
| 0 0 2 | 40.46 | 144 |
| 2 10 0 | 52.52 | 117 |
| 0 10 2 | 52.74 | 121 |
| 1 15 1 | 57.89 | 146 |
| 2 0 2 | 58.35 | 99 |
| 0 20 0 | 67.74 | 23 |
| 3 5 1 | 68.30 | 227 |
| 1 5 3 | 68.65 | 119 |

Structural model:
abc: 4.487 27.659 4.459
angles: 90.00 90.00 90.00
Space group Cmcm (No. 63)
Unique sites:
Ce1 0.000 0.159 0.250 [4 per cell]
Sn1 0.000 0.055 0.750 [4 per cell]
Sn2 0.000 0.452 0.750 [4 per cell]
Sb1 0.000 0.250 0.750 [4 per cell]
Sb2 0.000 0.358 0.250 [4 per cell]

Structure and calculated X-ray powder pattern of Ce8Sn2Sb (a PBE-relaxed structure; Cu Ka).
Intensities are scaled so that the largest is 1000.

Peak list (12 most intense, 2θ from 10° to 80°, by angle)
| (hkl) | two_theta | I_rel |
| --- | --- | --- |
| 2 2 0 | 25.89 | 226 |
| 1 3 1 | 30.38 | 309 |
| 0 4 1 | 30.48 | 1000 |
| 1 1 -2 | 31.66 | 628 |
| 3 1 -1 | 32.16 | 972 |
| 2 0 1 | 33.13 | 470 |
| 0 0 2 | 33.69 | 326 |
| 2 4 0 | 34.16 | 521 |
| 2 2 -2 | 34.90 | 238 |
| 1 5 -1 | 35.83 | 790 |
| 2 4 2 | 55.17 | 244 |
| 1 5 -3 | 58.73 | 318 |

Structural model:
abc: 8.574 14.061 5.780
angles: 90.00 112.99 90.00
Space group C2/m (No. 12)
Unique sites:
Ce1 0.000 0.229 0.000 [4 per cell]
Ce2 0.094 0.500 0.855 [4 per cell]
Ce3 0.179 0.096 0.590 [8 per cell]
Sn1 0.000 0.311 0.500 [4 per cell]
Sb1 0.000 0.000 0.000 [2 per cell]